No. 1
Computed powder diffractogram
Compound: Pu3Co
Radiation: Cu Kα X-rays
Structure: a DFT-relaxed cell (PBE, OQMD)
Kinematic intensities with the Lorentz-polarization factor, no thermal factor.

Crystal structure
```
data_Pu3Co
_symmetry_space_group_name_H-M 'P 63/m m c'
_symmetry_Int_Tables_number 194
_symmetry_space_group_name_Hall '-P 6c 2c'
_cell_length_a 6.6053
_cell_length_b 6.6053
_cell_length_c 4.4321
_cell_angle_alpha 90.00
_cell_angle_beta 90.00
_cell_angle_gamma 120.00
loop_
_atom_site_label
_atom_site_type_symbol
_atom_site_fract_x
_atom_site_fract_y
_atom_site_fract_z
Pu1 Pu 0.1802 0.3605 0.2500
Co1 Co 0.3333 0.6667 0.7500
```

Principal peaks in the range 10° ≤ 2θ ≤ 90°, sorted by position:
(hkl)	d/Å	intensity
1 0 1	3.504	23.0
1 1 0	3.303	6.7
2 0 0	2.860	26.9
2 0 1	2.403	100.0
0 0 2	2.216	18.7
2 1 0	2.162	8.4
2 0 2	1.752	18.3
2 2 0	1.651	19.4
4 0 1	1.361	14.8
2 2 2	1.324	18.8
2 0 3	1.313	16.3
3 2 1	1.258	6.5

---

No. 2
Computed powder diffractogram
Compound: LaSiGe3Pt6
Radiation: Cu Kα X-rays
Structure: a DFT-relaxed cell (PBE, OQMD)
Kinematic intensities with the Lorentz-polarization factor, no thermal factor.

Crystal structure
```
data_LaSiGe3Pt6
_symmetry_space_group_name_H-M 'P -6 m 2'
_symmetry_Int_Tables_number 187
_symmetry_space_group_name_Hall 'P -6 2'
_cell_length_a 7.2885
_cell_length_b 7.2885
_cell_length_c 4.0671
_cell_angle_alpha 90.00
_cell_angle_beta 90.00
_cell_angle_gamma 120.00
loop_
_atom_site_label
_atom_site_type_symbol
_atom_site_fract_x
_atom_site_fract_y
_atom_site_fract_z
La1 La 0.0000 0.0000 0.0000
Si1 Si 0.3333 0.6667 0.0000
Ge1 Ge 0.3888 0.1944 0.5000
Pt1 Pt 0.1996 0.3992 0.5000
Pt2 Pt 0.5306 0.0612 0.0000
```

Principal peaks in the range 10° ≤ 2θ ≤ 90°, sorted by position:
(hkl)	d/Å	intensity
1 0 1	3.419	17.7
2 0 1	2.493	100.0
2 1 0	2.386	19.4
3 0 0	2.104	18.4
2 1 1	2.058	33.6
0 0 2	2.034	21.9
2 2 0	1.822	18.8
3 0 2	1.462	11.7
3 2 1	1.364	14.8
2 2 2	1.357	14.3
2 0 3	1.246	12.6
5 0 1	1.206	12.3

---

No. 3
Computed powder diffractogram
Compound: Y2Mo4Pb3C3
Radiation: Cu Kα X-rays
Structure: a DFT-relaxed cell (PBE, OQMD)
Kinematic intensities with the Lorentz-polarization factor, no thermal factor.

Crystal structure
```
data_Y2Mo4Pb3C3
_symmetry_space_group_name_H-M 'C 1 2/c 1'
_symmetry_Int_Tables_number 15
_cell_length_a 10.121
_cell_length_b 5.873
_cell_length_c 14.598
_cell_angle_alpha 90.00
_cell_angle_beta 102.38
_cell_angle_gamma 90.00
loop_
_symmetry_equiv_pos_as_xyz
'x,y,z'
'-x,-y,-z'
'-x,y,-z+1/2'
'x,-y,z+1/2'
'x+1/2,y+1/2,z'
'-x+1/2,-y+1/2,-z'
'-x+1/2,y+1/2,-z+1/2'
'x+1/2,-y+1/2,z+1/2'
loop_
_atom_site_label
_atom_site_type_symbol
_atom_site_fract_x
_atom_site_fract_y
_atom_site_fract_z
Y1 Y 0.047 0.078 0.401
Mo1 Mo 0.103 0.408 0.567
Mo2 Mo 0.233 0.422 0.933
Pb1 Pb 0.000 0.464 0.250
Pb2 Pb 0.192 0.111 0.749
C1 C 0.089 0.265 0.000
C2 C 0.250 0.250 0.500
```

Principal peaks in the range 10° ≤ 2θ ≤ 90°, sorted by position:
(hkl)	d/Å	intensity
0 0 2	7.129	35.3
0 0 4	3.565	27.5
0 2 0	2.937	21.5
3 1 -1	2.925	45.7
3 1 0	2.875	21.4
3 1 2	2.508	98.2
0 2 3	2.498	98.1
3 1 -4	2.475	100.0
0 0 6	2.376	52.5
3 3 -1	1.693	34.4
0 4 3	1.403	22.6
3 3 5	1.385	23.5

---

No. 4
Computed powder diffractogram
Compound: HfTlCu3S4
Radiation: Cu Kα X-rays
Structure: a DFT-relaxed cell (PBE, OQMD)
Kinematic intensities with the Lorentz-polarization factor, no thermal factor.

Crystal structure
```
data_HfTlCu3S4
_symmetry_space_group_name_H-M 'P 1 21/m 1'
_symmetry_Int_Tables_number 11
_cell_length_a 5.700
_cell_length_b 7.221
_cell_length_c 9.568
_cell_angle_alpha 90.00
_cell_angle_beta 104.77
_cell_angle_gamma 90.00
loop_
_symmetry_equiv_pos_as_xyz
'x,y,z'
'-x,-y,-z'
'-x,y+1/2,-z'
'x,-y+1/2,z'
loop_
_atom_site_label
_atom_site_type_symbol
_atom_site_fract_x
_atom_site_fract_y
_atom_site_fract_z
Hf1 Hf 0.120 0.250 0.302
Tl1 Tl 0.222 0.250 0.899
Cu1 Cu 0.288 0.554 0.521
Cu2 Cu 0.422 0.750 0.759
S1 S 0.049 0.250 0.543
S2 S 0.197 0.750 0.918
S3 S 0.376 0.512 0.288
```

Principal peaks in the range 10° ≤ 2θ ≤ 90°, sorted by position:
(hkl)	d/Å	intensity
0 1 1	5.692	64.7
1 1 0	4.381	94.4
1 0 -2	4.094	58.9
0 1 2	3.895	100.0
0 2 0	3.611	75.6
0 2 1	3.363	58.9
0 1 3	2.836	75.7
1 2 -2	2.708	59.7
2 1 0	2.575	59.1
2 1 -2	2.519	57.8
1 3 0	2.206	55.5
2 2 1	2.041	75.0

---

No. 5
Computed powder diffractogram
Compound: InAgTe2OsS
Radiation: Cu Kα X-rays
Structure: a DFT-relaxed cell (PBE, OQMD)
Kinematic intensities with the Lorentz-polarization factor, no thermal factor.

Crystal structure
```
data_InAgTe2OsS
_symmetry_space_group_name_H-M 'C m c m'
_symmetry_Int_Tables_number 63
_symmetry_space_group_name_Hall '-C 2c 2'
_cell_length_a 4.068
_cell_length_b 13.782
_cell_length_c 9.983
_cell_angle_alpha 90.00
_cell_angle_beta 90.00
_cell_angle_gamma 90.00
loop_
_atom_site_label
_atom_site_type_symbol
_atom_site_fract_x
_atom_site_fract_y
_atom_site_fract_z
In1 In 0.000 0.237 0.250
Ag1 Ag 0.000 0.024 0.750
Te1 Te 0.000 0.132 0.528
Os1 Os 0.000 0.500 0.000
S1 S 0.000 0.421 0.750
```

Principal peaks in the range 10° ≤ 2θ ≤ 90°, sorted by position:
(hkl)	d/Å	intensity
0 2 0	6.891	41.2
0 0 2	4.992	15.2
0 2 2	4.042	18.5
1 3 0	3.046	38.4
1 3 1	2.913	35.0
0 4 2	2.836	17.8
1 3 2	2.600	100.0
0 0 4	2.496	46.4
1 5 2	2.075	56.6
2 0 0	2.034	30.1
1 3 4	1.930	15.4
2 0 4	1.577	22.1

---

No. 6
Computed powder diffractogram
Compound: RbPPdSe4
Radiation: Cu Kα X-rays
Structure: a DFT-relaxed cell (PBE, OQMD)
Kinematic intensities with the Lorentz-polarization factor, no thermal factor.

Crystal structure
```
data_RbPPdSe4
_symmetry_space_group_name_H-M 'I 4/m c m'
_symmetry_Int_Tables_number 140
_symmetry_space_group_name_Hall '-I 4 2c'
_cell_length_a 8.588
_cell_length_b 8.588
_cell_length_c 13.200
_cell_angle_alpha 90.00
_cell_angle_beta 90.00
_cell_angle_gamma 90.00
loop_
_atom_site_label
_atom_site_type_symbol
_atom_site_fract_x
_atom_site_fract_y
_atom_site_fract_z
Rb1 Rb 0.000 0.000 0.250
P1 P 0.000 0.500 0.250
Pd1 Pd 0.000 0.500 0.000
Se1 Se 0.138 0.362 0.138
```

Principal peaks in the range 10° ≤ 2θ ≤ 90°, sorted by position:
(hkl)	d/Å	intensity
1 1 0	6.072	100.0
1 1 2	4.469	53.5
2 0 0	4.294	38.1
2 1 1	3.688	81.8
2 2 0	3.036	28.0
2 1 3	2.894	80.0
2 0 4	2.617	50.9
3 1 2	2.511	44.5
2 2 4	2.234	20.0
3 1 4	2.096	47.3
4 2 0	1.920	19.9
4 0 4	1.800	56.4

---

No. 7
Computed powder diffractogram
Compound: Ag2Bi2O5
Radiation: Cu Kα X-rays
Structure: a DFT-relaxed cell (PBE, OQMD)
Kinematic intensities with the Lorentz-polarization factor, no thermal factor.

Crystal structure
```
data_Ag2Bi2O5
_symmetry_space_group_name_H-M 'P 4/m m m'
_symmetry_Int_Tables_number 123
_symmetry_space_group_name_Hall '-P 4 2'
_cell_length_a 4.187
_cell_length_b 4.187
_cell_length_c 7.091
_cell_angle_alpha 90.00
_cell_angle_beta 90.00
_cell_angle_gamma 90.00
loop_
_atom_site_label
_atom_site_type_symbol
_atom_site_fract_x
_atom_site_fract_y
_atom_site_fract_z
Ag1 Ag 0.000 0.000 0.197
Bi1 Bi 0.500 0.500 0.000
Bi2 Bi 0.500 0.500 0.500
O1 O 0.000 0.000 0.500
O2 O 0.000 0.500 0.215
```

Principal peaks in the range 10° ≤ 2θ ≤ 90°, sorted by position:
(hkl)	d/Å	intensity
1 0 0	4.187	12.1
1 1 0	2.961	66.4
1 0 2	2.706	100.0
1 1 2	2.273	18.2
2 0 0	2.094	37.5
2 1 2	1.656	46.7
1 1 4	1.521	10.9
2 2 0	1.480	11.9
2 0 4	1.353	9.6
3 1 0	1.324	12.1
3 0 2	1.299	10.6
3 2 2	1.104	13.6

---

No. 8
Computed powder diffractogram
Compound: ZrSc3As4
Radiation: Cu Kα X-rays
Structure: a DFT-relaxed cell (PBE, OQMD)
Kinematic intensities with the Lorentz-polarization factor, no thermal factor.

Crystal structure
```
data_ZrSc3As4
_symmetry_space_group_name_H-M 'C m m m'
_symmetry_Int_Tables_number 65
_symmetry_space_group_name_Hall '-C 2 2'
_cell_length_a 7.735
_cell_length_b 10.925
_cell_length_c 3.866
_cell_angle_alpha 90.00
_cell_angle_beta 90.00
_cell_angle_gamma 90.00
loop_
_atom_site_label
_atom_site_type_symbol
_atom_site_fract_x
_atom_site_fract_y
_atom_site_fract_z
Zr1 Zr 0.000 0.000 0.000
Sc1 Sc 0.000 0.500 0.000
Sc2 Sc 0.250 0.250 0.500
As1 As 0.000 0.251 0.000
As2 As 0.248 0.500 0.500
```

Principal peaks in the range 10° ≤ 2θ ≤ 90°, sorted by position:
(hkl)	d/Å	intensity
1 1 0	6.313	3.6
0 2 0	5.463	1.5
1 1 1	3.296	2.7
2 2 0	3.156	4.4
2 0 1	2.733	100.0
3 1 0	2.508	1.5
4 0 0	1.933	70.3
4 2 1	1.648	2.4
4 4 0	1.578	23.8
4 0 2	1.367	10.8
6 0 1	1.222	29.7
6 4 1	1.116	22.7

---

No. 9
Computed powder diffractogram
Compound: Nd7CoI12
Radiation: Cu Kα X-rays
Structure: a DFT-relaxed cell (PBE, OQMD)
Kinematic intensities with the Lorentz-polarization factor, no thermal factor.

Crystal structure
```
data_Nd7CoI12
_symmetry_space_group_name_H-M 'R -3'
_symmetry_Int_Tables_number 148
_symmetry_space_group_name_Hall '-R 3'
_cell_length_a 16.0831
_cell_length_b 16.0831
_cell_length_c 11.0355
_cell_angle_alpha 90.00
_cell_angle_beta 90.00
_cell_angle_gamma 120.00
loop_
_atom_site_label
_atom_site_type_symbol
_atom_site_fract_x
_atom_site_fract_y
_atom_site_fract_z
Nd1 Nd 0.0000 0.0000 0.0000
Nd2 Nd 0.0435 0.1572 0.3575
Co1 Co 0.0000 0.0000 0.5000
I1 I 0.0210 0.5870 0.1618
I2 I 0.0510 0.1821 0.8397
```

Principal peaks in the range 10° ≤ 2θ ≤ 90°, sorted by position:
(hkl)	d/Å	intensity
1 0 1	8.650	6.7
1 1 0	8.042	20.0
4 -3 1	3.646	13.8
1 1 3	3.345	9.5
3 1 2	3.165	100.0
4 -3 4	2.245	35.6
2 5 0	2.230	35.4
8 -6 2	1.823	17.5
6 2 4	1.583	15.3
7 -2 6	1.419	12.6
10 -1 2	1.412	13.4
11 -5 4	1.291	9.0

---

No. 10
Computed powder diffractogram
Compound: DyAl2Ga
Radiation: Cu Kα X-rays
Structure: a DFT-relaxed cell (PBE, OQMD)
Kinematic intensities with the Lorentz-polarization factor, no thermal factor.

Crystal structure
```
data_DyAl2Ga
_symmetry_space_group_name_H-M 'A m m 2'
_symmetry_Int_Tables_number 38
_cell_length_a 4.566
_cell_length_b 6.305
_cell_length_c 10.838
_cell_angle_alpha 90.00
_cell_angle_beta 90.00
_cell_angle_gamma 90.00
loop_
_symmetry_equiv_pos_as_xyz
'x,y,z'
'-x,-y,z'
'-x,y,z'
'x,-y,z'
'x,y+1/2,z+1/2'
'-x,-y+1/2,z+1/2'
'-x,y+1/2,z+1/2'
'x,-y+1/2,z+1/2'
loop_
_atom_site_label
_atom_site_type_symbol
_atom_site_fract_x
_atom_site_fract_y
_atom_site_fract_z
Dy1 Dy 0.000 0.000 0.000
Dy2 Dy 0.500 0.000 0.331
Al1 Al 0.000 0.000 0.519
Al2 Al 0.000 0.219 0.740
Al3 Al 0.500 0.000 0.810
Ga1 Ga 0.500 0.221 0.590
```

Principal peaks in the range 10° ≤ 2θ ≤ 90°, sorted by position:
(hkl)	d/Å	intensity
0 1 1	5.441	22.1
1 1 1	3.498	97.0
0 1 3	3.135	35.7
0 2 2	2.725	26.9
1 2 2	2.340	100.0
1 0 4	2.330	50.0
2 0 0	2.283	32.5
2 1 3	1.845	16.0
2 2 2	1.750	14.3
0 2 6	1.567	17.3
3 2 2	1.329	16.3
2 2 6	1.292	18.0

---

No. 11
Computed powder diffractogram
Compound: CsMg3ZnAs3
Radiation: Cu Kα X-rays
Structure: a DFT-relaxed cell (PBE, OQMD)
Kinematic intensities with the Lorentz-polarization factor, no thermal factor.

Crystal structure
```
data_CsMg3ZnAs3
_symmetry_space_group_name_H-M 'P m m 2'
_symmetry_Int_Tables_number 25
_cell_length_a 4.358
_cell_length_b 4.491
_cell_length_c 10.872
_cell_angle_alpha 90.00
_cell_angle_beta 90.00
_cell_angle_gamma 90.00
loop_
_symmetry_equiv_pos_as_xyz
'x,y,z'
'-x,-y,z'
'-x,y,z'
'x,-y,z'
loop_
_atom_site_label
_atom_site_type_symbol
_atom_site_fract_x
_atom_site_fract_y
_atom_site_fract_z
Cs1 Cs 0.000 0.000 0.000
Mg1 Mg 0.000 0.500 0.651
Mg2 Mg 0.500 0.000 0.348
Mg3 Mg 0.500 0.000 0.659
Zn1 Zn 0.000 0.500 0.341
As1 As 0.000 0.000 0.499
As2 As 0.500 0.500 0.220
As3 As 0.500 0.500 0.784
```

Principal peaks in the range 10° ≤ 2θ ≤ 90°, sorted by position:
(hkl)	d/Å	intensity
0 1 2	3.462	100.0
1 0 2	3.400	77.3
1 1 0	3.128	25.2
1 1 1	3.006	29.1
0 0 4	2.714	20.8
1 1 3	2.368	17.1
0 2 0	2.246	28.7
2 0 0	2.179	28.6
1 1 4	2.052	58.9
1 2 2	1.874	27.9
2 1 2	1.844	32.8
2 2 0	1.564	19.7

---

No. 12
Computed powder diffractogram
Compound: AgBiI6
Radiation: Cu Kα X-rays
Structure: a DFT-relaxed cell (PBE, OQMD)
Kinematic intensities with the Lorentz-polarization factor, no thermal factor.

Crystal structure
```
data_AgBiI6
_symmetry_space_group_name_H-M 'F -4 3 m'
_symmetry_Int_Tables_number 216
_symmetry_space_group_name_Hall 'F -4 2 3'
_cell_length_a 10.801
_cell_length_b 10.801
_cell_length_c 10.801
_cell_angle_alpha 90.00
_cell_angle_beta 90.00
_cell_angle_gamma 90.00
loop_
_atom_site_label
_atom_site_type_symbol
_atom_site_fract_x
_atom_site_fract_y
_atom_site_fract_z
Ag1 Ag 0.000 0.000 0.000
Bi1 Bi 0.250 0.250 0.750
I1 I 0.000 0.000 0.257
```

Principal peaks in the range 10° ≤ 2θ ≤ 90°, sorted by position:
(hkl)	d/Å	intensity
1 1 1	6.236	34.7
2 0 0	5.401	11.1
3 1 1	3.257	27.2
2 2 2	3.118	100.0
4 0 0	2.700	81.7
3 3 1	2.478	16.0
4 4 0	1.909	58.3
6 2 2	1.628	43.5
4 4 4	1.559	19.9
6 6 2	1.239	17.6
8 4 0	1.208	25.7
8 4 4	1.102	20.1